Calculated powder X-ray diffraction pattern of Li2Si5Ni5O16 for λ = 1.5418 Å (Cu Kα), from a structure optimized by DFT (GGA+U).
Intensities are scaled so that the largest is 100.

The 10 most intense peaks (2θ from 10° to 90°), low angle first:
| 2theta | I_rel |
| --- | --- |
| 21.62 | 32 |
| 21.90 | 100 |
| 25.03 | 28 |
| 25.30 | 27 |
| 25.43 | 26 |
| 31.09 | 29 |
| 35.75 | 34 |
| 36.03 | 70 |
| 36.31 | 72 |
| 51.37 | 23 |

Structure:
```
data_Li2Si5Ni5O16
_chemical_formula_sum 'Li2 Si5 Ni5 O16'
_space_group_name_H-M_alt 'P 1'
_space_group_IT_number 1
_space_group_name_Hall 'P 1'
_cell_length_a 4.9470
_cell_length_b 7.1152
_cell_length_c 9.9710
_cell_angle_alpha 90.82
_cell_angle_beta 90.28
_cell_angle_gamma 90.24
loop_
_atom_site_label
_atom_site_type_symbol
_atom_site_fract_x
_atom_site_fract_y
_atom_site_fract_z
_atom_site_occupancy
Li1 Li 0.0000 0.0000 0.0000 1
Li2 Li 0.4623 0.5261 0.7980 1
Si1 Si 0.0246 0.2304 0.7329 1
Si2 Si 0.1039 0.2614 0.2323 1
Si3 Si 0.4793 0.7413 0.0420 1
Si4 Si 0.5169 0.9879 0.8067 1
Si5 Si 0.6146 0.7655 0.5469 1
Ni1 Ni 0.0944 0.4960 0.5007 1
Ni2 Ni 0.1020 0.9961 0.4763 1
Ni3 Ni 0.5940 0.5155 0.2948 1
Ni4 Ni 0.5952 0.0147 0.2830 1
Ni5 Ni 0.9945 0.4994 0.9854 1
O1 O 0.0285 0.2556 0.0739 1
O2 O 0.0810 0.2374 0.5722 1
O3 O 0.0906 0.4349 0.7953 1
O4 O 0.1559 0.7523 0.0168 1
O5 O 0.2018 0.0583 0.8035 1
O6 O 0.4337 0.2653 0.2637 1
O7 O 0.4864 0.5660 0.4923 1
O8 O 0.4970 0.9485 0.4698 1
O9 O 0.5414 0.7956 0.7109 1
O10 O 0.5709 0.7626 0.2004 1
O11 O 0.6038 0.5521 0.9751 1
O12 O 0.6063 0.9323 0.9599 1
O13 O 0.7075 0.1625 0.7595 1
O14 O 0.9434 0.7526 0.5299 1
O15 O 0.9821 0.4495 0.3109 1
O16 O 0.9892 0.0637 0.2965 1
```